(1)
For Bi2PtF4, a cell relaxed with PBE gives the computed powder XRD pattern in this record (copper Kα).

Crystal structure
```
7
Lattice="-2.063 2.063 8.289 2.063 -2.063 8.289 2.063 2.063 -8.289" Properties=species:S:1:pos:R:3 pbc="T T T"
Bi 0.000 0.000 2.368
Bi 0.000 0.000 14.211
Pt 0.000 0.000 8.289
F 2.063 0.000 0.000
F 0.000 0.000 4.487
F 0.000 2.063 0.000
F 0.000 0.000 12.092
```

Principal peaks in the range 10 to 90 degrees two-theta, sorted by position:
Position (°2θ)  I/Imax
26.97  100
30.65  44
32.40  11
34.71  17
43.89  21
45.20  13
52.28  34
54.30  9
55.60  10
72.47  12

(2)
For Rb5Bi2F12, a cell relaxed with PBE gives the computed powder XRD pattern in this record (copper Kα).

Crystal structure
```
19
Lattice="6.956 -4.147 0.000 6.956 4.147 0.000 -0.992 0.000 6.843" Properties=species:S:1:pos:R:3 pbc="T T T"
Rb 0.000 0.000 0.000
Rb 2.878 0.000 3.316
Rb 4.052 0.000 6.725
Rb 8.868 0.000 0.119
Rb 10.042 0.000 3.527
Bi 6.460 2.060 3.422
Bi 6.460 -2.060 3.422
F 0.283 0.000 4.379
F 4.822 2.440 4.968
F 4.718 1.659 2.025
F 8.099 2.440 1.875
F 8.203 1.659 4.818
F 5.832 0.000 4.523
F 7.088 0.000 2.321
F 4.718 -1.659 2.025
F 4.822 -2.440 4.968
F 8.203 -1.659 4.818
F 8.099 -2.440 1.875
F 12.637 0.000 2.464
```

Principal peaks in the range 10 to 90 degrees two-theta, sorted by position:
Position (°2θ)  I/Imax
12.90  100
25.09  65
26.04  29
27.28  20
27.42  50
29.17  35
30.70  21
37.82  18
45.43  24
45.62  23

(3)
For RbBiF, a cell relaxed with PBE gives the computed powder XRD pattern in this record (copper Kα).

Crystal structure
```
6
Lattice="-1.764 2.872 9.565 1.764 -2.872 9.565 1.764 2.872 -9.565" Properties=species:S:1:pos:R:3 pbc="T T T"
Rb 0.000 0.000 3.531
Rb 0.000 0.000 15.599
Bi 1.764 1.414 0.000
Bi 0.000 1.458 9.565
F 0.000 0.000 6.082
F 0.000 0.000 13.048
```

Principal peaks in the range 10 to 90 degrees two-theta, sorted by position:
Position (°2θ)  I/Imax
18.55  77
25.67  60
27.99  70
28.92  100
32.56  79
36.50  35
40.79  61
41.81  27
47.22  53
49.61  30